[1]
Calculated XRD peak list
Compound: HoSnAu3
Radiation: Cu Kα
Structure: DFT lattice parameters and positions (PBE)
Neutral-atom scattering factors, no anomalous dispersion.

Cell and atoms:
```
data_HoSnAu3
_chemical_formula_sum 'Ho2 Sn2 Au6'
_cell_length_a 4.781
_cell_length_b 6.598
_cell_length_c 6.883
_cell_angle_alpha 90.00
_cell_angle_beta 90.00
_cell_angle_gamma 90.00
_space_group_name_H-M_alt 'P m m n'
_space_group_IT_number 59
loop_
_space_group_symop_operation_xyz
'x,y,z'
'-x,-y,-z'
'-x+1/2,-y+1/2,z'
'x+1/2,y+1/2,-z'
'x+1/2,-y,-z'
'-x+1/2,y,z'
'-x,y+1/2,-z'
'x,-y+1/2,z'
loop_
_atom_site_label
_atom_site_type_symbol
_atom_site_fract_x
_atom_site_fract_y
_atom_site_fract_z
_atom_site_occupancy
Ho1 Ho 0.250 0.250 0.188 1
Sn1 Sn 0.250 0.750 0.451 1
Au1 Au 0.250 0.038 0.749 1
Au2 Au 0.250 0.750 0.058 1
```

The 8 most intense peaks (2θ from 10° to 90°), low angle first:
2θ 34.9, I = 59.6
2θ 35.5, I = 100.0
2θ 37.6, I = 44.7
2θ 37.8, I = 26.7
2θ 43.8, I = 27.9
2θ 54.4, I = 19.0
2θ 66.6, I = 16.5
2θ 80.5, I = 14.6

---

[2]
Calculated XRD peak list
Compound: Ho3Sn4Au3
Radiation: Cu Kα
Structure: DFT lattice parameters and positions (PBE)
Neutral-atom scattering factors, no anomalous dispersion.

Cell and atoms:
```
data_Ho3Sn4Au3
_chemical_formula_sum 'Ho12 Sn16 Au12'
_cell_length_a 9.924
_cell_length_b 9.924
_cell_length_c 9.924
_cell_angle_alpha 90.00
_cell_angle_beta 90.00
_cell_angle_gamma 90.00
_space_group_name_H-M_alt 'I -4 3 d'
_space_group_IT_number 220
_space_group_name_Hall 'I -4bd 2c 3'
loop_
_atom_site_label
_atom_site_type_symbol
_atom_site_fract_x
_atom_site_fract_y
_atom_site_fract_z
_atom_site_occupancy
Ho1 Ho 0.000 0.250 0.875 1
Sn1 Sn 0.088 0.412 0.588 1
Au1 Au 0.000 0.250 0.375 1
```

The 8 most intense peaks (2θ from 10° to 90°), low angle first:
2θ 21.9, I = 22.1
2θ 25.4, I = 11.4
2θ 33.8, I = 100.0
2θ 40.7, I = 49.5
2θ 44.7, I = 13.7
2θ 50.4, I = 16.8
2θ 65.1, I = 11.9
2θ 69.6, I = 12.3

---

[3]
Calculated XRD peak list
Compound: Ho2SnAu2
Radiation: Cu Kα
Structure: DFT lattice parameters and positions (PBE)
Neutral-atom scattering factors, no anomalous dispersion.

Cell and atoms:
```
data_Ho2SnAu2
_chemical_formula_sum 'Ho8 Sn4 Au8'
_cell_length_a 7.935
_cell_length_b 7.935
_cell_length_c 7.427
_cell_angle_alpha 90.00
_cell_angle_beta 90.00
_cell_angle_gamma 90.00
_space_group_name_H-M_alt 'P 42/m n m'
_space_group_IT_number 136
_space_group_name_Hall '-P 4n 2n'
loop_
_atom_site_label
_atom_site_type_symbol
_atom_site_fract_x
_atom_site_fract_y
_atom_site_fract_z
_atom_site_occupancy
Ho1 Ho 0.157 0.157 0.000 1
Ho2 Ho 0.182 0.182 0.500 1
Sn1 Sn 0.000 0.500 0.250 1
Au1 Au 0.128 0.872 0.276 1
```

The 8 most intense peaks (2θ from 10° to 90°), low angle first:
2θ 15.8, I = 13.9
2θ 33.0, I = 17.6
2θ 35.0, I = 100.0
2θ 35.8, I = 42.1
2θ 48.1, I = 9.5
2θ 49.1, I = 12.5
2θ 62.2, I = 14.8
2θ 68.5, I = 14.1

---

[4]
Calculated XRD peak list
Compound: SrHoSnAu
Radiation: Cu Kα
Structure: DFT lattice parameters and positions (PBE)
Neutral-atom scattering factors, no anomalous dispersion.

Cell and atoms:
```
data_SrHoSnAu
_chemical_formula_sum 'Sr4 Ho4 Sn4 Au4'
_cell_length_a 7.611
_cell_length_b 7.611
_cell_length_c 7.611
_cell_angle_alpha 90.00
_cell_angle_beta 90.00
_cell_angle_gamma 90.00
_space_group_name_H-M_alt 'F -4 3 m'
_space_group_IT_number 216
_space_group_name_Hall 'F -4 2 3'
loop_
_atom_site_label
_atom_site_type_symbol
_atom_site_fract_x
_atom_site_fract_y
_atom_site_fract_z
_atom_site_occupancy
Sr1 Sr 0.000 0.000 0.000 1
Ho1 Ho 0.000 0.000 0.500 1
Sn1 Sn 0.250 0.250 0.750 1
Au1 Au 0.250 0.250 0.250 1
```

The 8 most intense peaks (2θ from 10° to 90°), low angle first:
2θ 20.2, I = 7.8
2θ 33.3, I = 100.0
2θ 39.3, I = 4.5
2θ 47.8, I = 18.3
2θ 59.5, I = 38.4
2θ 69.9, I = 12.0
2θ 79.7, I = 17.0
2θ 89.1, I = 4.5

---

Number 2 is which compound? Ho3Sn4Au3